(1)
For La2Al12Co3Ag, DFT lattice parameters and positions (GGA-PBE) gives the calculated powder X-ray diffraction pattern in this record (Cu Ka).
Neutral-atom scattering factors, no anomalous dispersion.

Cell: 8.021 8.021 8.021 Å, 65.09 65.09 65.09°
Fractional coordinates of all 18 atoms:
La  0.095  0.095  0.095
La  0.905  0.905  0.905
Al  0.116  0.623  0.623
Al  0.225  0.225  0.569
Al  0.225  0.569  0.225
Al  0.377  0.377  0.884
Al  0.377  0.884  0.377
Al  0.431  0.775  0.775
Al  0.569  0.225  0.225
Al  0.623  0.116  0.623
Al  0.623  0.623  0.116
Al  0.775  0.431  0.775
Al  0.775  0.775  0.431
Al  0.884  0.377  0.377
Co  0.000  0.500  0.500
Co  0.500  0.000  0.500
Co  0.500  0.500  0.000
Ag  0.500  0.500  0.500

Principal peaks in the range 2θ = 5–70°, sorted by position:
| two_theta | I (rel.) |
| --- | --- |
| 20.58 | 738 |
| 24.28 | 963 |
| 25.03 | 588 |
| 25.64 | 740 |
| 26.47 | 1000 |
| 33.11 | 400 |
| 33.77 | 504 |
| 35.39 | 629 |
| 41.87 | 948 |
| 50.23 | 439 |


(2)
For CsAl6Ag3, DFT lattice parameters and positions (GGA-PBE) gives the calculated powder X-ray diffraction pattern in this record (Cu Ka).
Neutral-atom scattering factors, no anomalous dispersion.

Cell: 6.311 6.311 6.826 Å, 108.28 108.28 68.82°
Fractional coordinates of all 10 atoms:
Cs  0.000  0.000  0.000
Al  0.168  0.541  0.439
Al  0.290  0.290  0.746
Al  0.459  0.832  0.561
Al  0.541  0.168  0.439
Al  0.710  0.710  0.254
Al  0.832  0.459  0.561
Ag  0.000  0.000  0.500
Ag  0.435  0.435  0.160
Ag  0.565  0.565  0.840

Principal peaks in the range 2θ = 5–70°, sorted by position:
| two_theta | I (rel.) |
| --- | --- |
| 18.42 | 1000 |
| 24.97 | 924 |
| 27.23 | 353 |
| 28.78 | 451 |
| 29.04 | 935 |
| 31.21 | 712 |
| 33.78 | 836 |
| 46.58 | 461 |
| 46.72 | 362 |
| 47.43 | 330 |